Simulated powder diffraction line list
Compound: LiGe3SbTe5
Radiation: copper Kα
Structure: a DFT-relaxed cell (PBE, Alexandria)
Lines closer than 0.1° are merged.

Structure:
```
LiGe3SbTe5
1.0
2.1307 1.2301 17.9504
-2.1307 1.2301 17.9504
0.0000 -2.4603 17.9504
Li Ge Sb Te
1 3 1 5
direct
0.0000 0.0000 0.0000
0.2038 0.2038 0.2038
0.6034 0.6034 0.6034
0.8034 0.8034 0.8034
0.3985 0.3985 0.3985
0.0990 0.0990 0.0990
0.2975 0.2975 0.2975
0.4978 0.4978 0.4978
0.6965 0.6965 0.6965
0.8976 0.8976 0.8976
```

Most intense lines, 2θ from 10° to 90°, sorted by position:
two_theta, I_rel
25.51, 12
29.34, 100
41.52, 36
42.42, 37
52.42, 19
60.86, 11
68.33, 14
69.63, 16
76.99, 12
77.61, 6